Starting from a structure optimized by DFT (GGA-PBE), the X-ray powder pattern of Ac6YO12 was calculated for Cu Kα X-rays.
No peak broadening, texture or thermal motion is included.

Largest 12 diffraction maxima, in order of rising 2θ, 15 to 90 degrees two-theta:
- 16.20°, d = 5.470 Å, I = 11.7
- 26.05°, d = 3.421 Å, I = 34.1
- 26.36°, d = 3.381 Å, I = 100.0
- 30.44°, d = 2.937 Å, I = 50.7
- 43.38°, d = 2.086 Å, I = 31.3
- 43.78°, d = 2.068 Å, I = 29.8
- 51.30°, d = 1.781 Å, I = 16.0
- 51.66°, d = 1.770 Å, I = 28.5
- 51.83°, d = 1.764 Å, I = 13.9
- 54.26°, d = 1.691 Å, I = 10.4
- 70.13°, d = 1.342 Å, I = 9.8
- 71.60°, d = 1.318 Å, I = 8.8

Crystal structure
Lattice parameters (Å, degrees): 10.9406 10.9406 10.2629 90.00 90.00 120.00
Space group R-3 (No. 148, hexagonal axes)
Unique sites:
Ac (0.0535, 0.2600, 0.1559) (multiplicity 18)
Y (0.0000, 0.0000, 0.5000) (multiplicity 3)
O (0.0401, 0.2268, 0.9033) (multiplicity 18)
O (0.0413, 0.2050, 0.3963) (multiplicity 18)